Record 1
# Sb3Pb
Simulated powder X-ray diffraction pattern, λ = 1.5418 Å (Cu Kα). Input: DFT lattice parameters and positions (PBE).

Cell and atoms:
Cell lengths 6.7711, 6.7711, 5.8423 Å; angles 90.00, 90.00, 120.00 degrees
Atoms (fractional coordinates):
Sb 0.1613 0.3227 0.2500
Sb 0.1613 0.8387 0.2500
Sb 0.3227 0.1613 0.7500
Sb 0.6773 0.8387 0.2500
Sb 0.8387 0.1613 0.7500
Sb 0.8387 0.6773 0.7500
Pb 0.3333 0.6667 0.7500
Pb 0.6667 0.3333 0.2500

The 6 most intense peaks (10° ≤ 2θ ≤ 90°), most intense first:
- 2θ = 34.22°, rel. 100
- 2θ = 30.60°, rel. 30
- 2θ = 63.51°, rel. 25
- 2θ = 56.75°, rel. 23
- 2θ = 30.49°, rel. 23
- 2θ = 43.74°, rel. 18

Record 2
# Rb2Ba8MgSb6O2
Simulated powder X-ray diffraction pattern, λ = 1.5418 Å (Cu Kα). Input: DFT lattice parameters and positions (PBE).

Cell and atoms:
Cell lengths 10.8707, 9.3454, 10.6244 Å; angles 65.60, 51.53, 62.88 degrees
Atoms (fractional coordinates):
Rb 0.2422 0.7578 0.7578
Rb 0.7578 0.2422 0.2422
Ba 0.0366 0.4435 0.2499
Ba 0.2085 0.5831 0.4169
Ba 0.2486 0.9442 0.0558
Ba 0.4435 0.0366 0.2700
Ba 0.5830 0.2085 0.7915
Ba 0.7300 0.7501 0.5565
Ba 0.7501 0.7300 0.9634
Ba 0.9442 0.2486 0.7514
Mg 0.4217 0.4217 0.5783
Sb 0.1328 0.3654 0.8672
Sb 0.3654 0.1328 0.6346
Sb 0.4960 0.4960 0.0040
Sb 0.6167 0.6167 0.3833
Sb 0.8855 0.8855 0.1145
Sb 0.9960 0.9960 0.5040
O 0.4970 0.9781 0.0219
O 0.9781 0.4970 0.5030

The 6 most intense peaks (10° ≤ 2θ ≤ 90°), most intense first:
- 2θ = 26.13°, rel. 100
- 2θ = 26.98°, rel. 78
- 2θ = 29.73°, rel. 43
- 2θ = 30.86°, rel. 38
- 2θ = 28.45°, rel. 30
- 2θ = 50.76°, rel. 22

Record 3
# LiBiP2O8
Simulated powder X-ray diffraction pattern, λ = 1.5418 Å (Cu Kα). Input: DFT lattice parameters and positions (PBE).

Cell and atoms:
Cell lengths 7.5278, 8.6684, 8.6723 Å; angles 119.94, 90.04, 90.02 degrees
Atoms (fractional coordinates):
Li 0.0000 0.0000 0.0000
Li 0.0105 0.6636 0.3329
Li 0.9802 0.3309 0.6662
Bi 0.4316 0.6648 0.3346
Bi 0.4950 0.9980 0.0003
Bi 0.5578 0.3315 0.6679
P 0.2463 0.6397 0.6807
P 0.2469 0.0360 0.3588
P 0.2465 0.3183 0.9627
P 0.7420 0.3560 0.3210
P 0.7424 0.6778 0.0389
P 0.7431 0.9598 0.6424
O 0.0847 0.1484 0.4394
O 0.0853 0.2876 0.8490
O 0.0846 0.5579 0.7117
O 0.2463 0.5901 0.4790
O 0.2465 0.5199 0.1151
O 0.2465 0.8839 0.4085
O 0.2568 0.1952 0.0455
O 0.2579 0.8454 0.8030
O 0.2600 0.9527 0.1532
O 0.4243 0.5771 0.7290
O 0.4248 0.1471 0.4222
O 0.4253 0.2701 0.8531
O 0.5638 0.4186 0.2730
O 0.5645 0.8497 0.5807
O 0.5646 0.7258 0.1499
O 0.7292 0.7995 0.9548
O 0.7297 0.1504 0.1987
O 0.7327 0.0428 0.8481
O 0.7432 0.1120 0.5927
O 0.7426 0.4059 0.5228
O 0.7429 0.4760 0.8872
O 0.9040 0.4375 0.2894
O 0.9046 0.7095 0.1516
O 0.9049 0.8461 0.5596

The 6 most intense peaks (10° ≤ 2θ ≤ 90°), most intense first:
- 2θ = 23.68°, rel. 100
- 2θ = 11.76°, rel. 71
- 2θ = 20.48°, rel. 47
- 2θ = 31.48°, rel. 45
- 2θ = 43.40°, rel. 28
- 2θ = 48.42°, rel. 25